Structure and simulated PXRD pattern of TlAg2W (a DFT-relaxed cell (PBE, OQMD); CuKα).

Structural model:
Cell: 4.7260 4.7260 4.7260 Å, 60.00 60.00 60.00°
Fractional positions:
Tl  0.0000  0.0000  0.0000
Ag  0.5000  0.5000  0.5000
Ag  0.7500  0.7500  0.7500
W  0.2500  0.2500  0.2500

Main lines, in order of falling intensity (10 to 80 degrees two-theta):
38.1 deg, d = 2.363 Å, I 100; 68.8 deg, d = 1.364 Å, I 35; 55.0 deg, d = 1.671 Å, I 17; 23.0 deg, d = 3.859 Å, I 8; 45.0 deg, d = 2.015 Å, I 4; 60.4 deg, d = 1.533 Å, I 2; 73.6 deg, d = 1.286 Å, I 2